The following is a computed powder diffraction line list of Na2TaMoO6. It was derived from DFT lattice parameters and positions (GGA+U), using a wavelength of 1.5418 Å.
Intensities are scaled so that the largest is 100.

Most intense lines, 2θ = 5–70°, low angle first:
d (Å), two_theta, I_rel, h k l
5.610, 15.80, 13, 1 0 0
3.967, 22.41, 99, 1 1 0
3.239, 27.54, 7, 1 0 1
2.805, 31.91, 100, 2 0 0
2.290, 39.34, 8, 2 0 1
2.120, 42.64, 5, 2 1 1
1.983, 45.75, 37, 2 2 0
1.774, 51.52, 40, 3 1 0
1.619, 56.86, 39, 3 1 1
1.402, 66.70, 22, 4 0 0

```
data_Na2TaMoO6
_chemical_formula_sum 'Na2 Ta1 Mo1 O6'
_symmetry_space_group_name_H-M 'P 4/m m m'
_symmetry_Int_Tables_number 123
_symmetry_space_group_name_Hall '-P 4 2'
_cell_length_a 5.6097
_cell_length_b 5.6097
_cell_length_c 3.9663
_cell_angle_alpha 90.00
_cell_angle_beta 90.00
_cell_angle_gamma 90.00
loop_
_atom_site_label
_atom_site_type_symbol
_atom_site_fract_x
_atom_site_fract_y
_atom_site_fract_z
_atom_site_occupancy
Na1 Na 0.0000 0.5000 0.0000 1
Ta1 Ta 0.0000 0.0000 0.5000 1
Mo1 Mo 0.5000 0.5000 0.5000 1
O1 O 0.0000 0.0000 0.0000 1
O2 O 0.2504 0.2504 0.5000 1
O3 O 0.5000 0.5000 0.0000 1
```